This entry pairs a crystal structure of Ga2I3 with its theoretical powder diffraction line list. Radiation: Cu Kα (weighted mean of Kα1 and Kα2). Structure: a GGA-PBE-relaxed structure.
Neutral-atom scattering factors, no anomalous dispersion.

Most intense lines, 2θ = 10–90°, low angle first:
| two_theta | I/Imax |
| --- | --- |
| 24.58 | 62.3 |
| 25.48 | 78.6 |
| 25.70 | 48.4 |
| 26.16 | 63.5 |
| 26.45 | 91.6 |
| 27.66 | 100.0 |
| 28.14 | 52.5 |
| 32.59 | 52.2 |

Cell and atoms:
```
Ga2I3
1.0
7.755 0.000 0.000
0.000 8.814 0.000
-7.479 0.000 11.485
Ga I
8 12
Direct
0.127 0.097 0.058
0.127 0.403 0.558
0.222 0.628 0.269
0.222 0.872 0.769
0.778 0.128 0.231
0.778 0.372 0.731
0.873 0.597 0.442
0.873 0.903 0.942
0.064 0.670 0.919
0.064 0.830 0.419
0.311 0.199 0.956
0.311 0.301 0.456
0.412 0.509 0.765
0.412 0.991 0.265
0.588 0.009 0.735
0.588 0.491 0.235
0.689 0.699 0.544
0.689 0.801 0.044
0.936 0.170 0.581
0.936 0.330 0.081
```

=====

This entry pairs a crystal structure of K3GaI6 with its theoretical powder diffraction line list. Radiation: Cu Kα (weighted mean of Kα1 and Kα2). Structure: a GGA-PBE-relaxed structure.
Neutral-atom scattering factors, no anomalous dispersion.

Most intense lines, 2θ = 10–90°, low angle first:
| two_theta | I/Imax |
| --- | --- |
| 14.41 | 48.6 |
| 25.10 | 100.0 |
| 29.06 | 89.5 |
| 32.58 | 20.8 |
| 41.56 | 60.9 |
| 49.17 | 37.5 |
| 51.52 | 19.6 |
| 68.25 | 21.2 |

Cell and atoms:
```
K3GaI6
1.0
0.000 6.145 6.145
6.145 0.000 6.145
6.145 6.145 0.000
K Ga I
3 1 6
Direct
0.000 0.000 0.000
0.250 0.250 0.250
0.750 0.750 0.750
0.500 0.500 0.500
0.272 0.272 0.728
0.272 0.728 0.272
0.272 0.728 0.728
0.728 0.272 0.272
0.728 0.272 0.728
0.728 0.728 0.272
```

=====

Q: Which formula does entry 2 have?
A: K3GaI6